NaMgInS3O12: calculated PXRD pattern (Cu Ka), based on DFT lattice parameters and positions (GGA-PBE).
Intensities are scaled so that the largest is 100.

Main lines, sorted by position (10 to 80 degrees two-theta):
| 2θ/deg | d/Å | intensity |
| --- | --- | --- |
| 13.95 | 6.348 | 71 |
| 19.29 | 4.602 | 42 |
| 20.26 | 4.383 | 40 |
| 23.34 | 3.811 | 100 |
| 28.12 | 3.174 | 34 |
| 30.88 | 2.896 | 78 |
| 35.47 | 2.531 | 29 |
| 47.73 | 1.905 | 28 |
| 50.67 | 1.802 | 18 |
| 55.47 | 1.657 | 18 |

Atomic structure:
Unit cell a=9.2268 b=9.2268 c=9.2268 alpha=56.72 beta=56.72 gamma=56.72
Positions (direct):
Na  0.0000  0.0000  0.0000
Na  0.5000  0.5000  0.5000
Mg  0.3534  0.3534  0.3534
Mg  0.8534  0.8534  0.8534
In  0.1525  0.1525  0.1525
In  0.6525  0.6525  0.6525
S  0.0488  0.4611  0.7498
S  0.2498  0.9611  0.5488
S  0.4611  0.7498  0.0488
S  0.5488  0.2498  0.9611
S  0.7498  0.0488  0.4611
S  0.9611  0.5488  0.2498
O  0.0144  0.6196  0.7788
O  0.0709  0.2864  0.9160
O  0.0844  0.9366  0.7167
O  0.1196  0.5144  0.2788
O  0.2167  0.4366  0.5844
O  0.2298  0.9791  0.3891
O  0.2788  0.1196  0.5144
O  0.2864  0.9160  0.0709
O  0.3891  0.2298  0.9791
O  0.4160  0.7864  0.5709
O  0.4366  0.5844  0.2167
O  0.4791  0.7298  0.8891
O  0.5144  0.2788  0.1196
O  0.5709  0.4160  0.7864
O  0.5844  0.2167  0.4366
O  0.6196  0.7788  0.0144
O  0.7167  0.0844  0.9366
O  0.7298  0.8891  0.4791
O  0.7788  0.0144  0.6196
O  0.7864  0.5709  0.4160
O  0.8891  0.4791  0.7298
O  0.9160  0.0709  0.2864
O  0.9366  0.7167  0.0844
O  0.9791  0.3891  0.2298